# 1
The following is a computed PXRD pattern of CsLiCoBr4. It was derived from a crystal structure in Alexandria, relaxed with PBE, using a wavelength of 1.5418 Å.

Structural model:
a b c (Å): 6.3299 7.6114 10.2245
angles (deg): 90.00 107.48 90.00
Space group P2_1/m (No. 11)
Inequivalent atoms, fractional coordinates:
Cs: 0.2135 0.2500 0.3707 [2 per cell]
Li: 0.3901 0.7500 0.0113 [2 per cell]
Co: 0.1240 0.2500 0.7938 [2 per cell]
Br: 0.0124 0.2500 0.9954 [2 per cell]
Br: 0.1742 0.7500 0.4148 [2 per cell]
Br: 0.3700 0.0031 0.8052 [4 per cell]

The 10 most intense peaks (10 to 90 degrees two-theta), most intense first:
d 3.217, intensity 100
d 3.335, intensity 62
d 3.307, intensity 54
d 3.165, intensity 39
d 1.941, intensity 24
d 2.184, intensity 24
d 2.472, intensity 23
d 3.000, intensity 19
d 3.806, intensity 18
d 4.729, intensity 18

---

# 2
The following is a computed PXRD pattern of Cs2AcAlTe4. It was derived from a crystal structure in Alexandria, relaxed with PBE, using a wavelength of 1.5418 Å.

Structural model:
a b c (Å): 13.7663 13.8775 9.2979
angles (deg): 90.00 132.30 90.00
Space group C2/c (No. 15)
Inequivalent atoms, fractional coordinates:
Cs: 0.0000 0.0000 0.0000 [4 per cell]
Cs: 0.2500 0.2500 0.0000 [4 per cell]
Ac: 0.2500 0.2500 0.5000 [4 per cell]
Al: 0.0000 0.5000 0.0000 [4 per cell]
Te: 0.0005 0.2824 0.0228 [8 per cell]
Te: 0.1869 0.4908 0.4407 [8 per cell]

The 10 most intense peaks (10 to 90 degrees two-theta), most intense first:
d 3.433, intensity 100
d 2.440, intensity 66
d 3.469, intensity 51
d 3.121, intensity 21
d 2.324, intensity 19
d 1.931, intensity 19
d 2.545, intensity 15
d 2.736, intensity 14
d 7.724, intensity 14
d 2.052, intensity 13

---

# 3
The following is a computed PXRD pattern of PrNd6Mg2. It was derived from a crystal structure in Alexandria, relaxed with PBE, using a wavelength of 1.5418 Å.

Structural model:
a b c (Å): 19.3055 11.9157 5.2163
angles (deg): 90.00 90.00 90.00
Space group Cmcm (No. 63)
Inequivalent atoms, fractional coordinates:
Pr: 0.0000 0.2453 0.2500 [4 per cell]
Nd: 0.0871 0.4150 0.7500 [8 per cell]
Nd: 0.1002 0.1098 0.7500 [8 per cell]
Nd: 0.1854 0.2969 0.2500 [8 per cell]
Mg: 0.2412 0.0510 0.2500 [8 per cell]

The 10 most intense peaks (10 to 90 degrees two-theta), most intense first:
d 3.003, intensity 100
d 3.119, intensity 95
d 2.608, intensity 38
d 2.832, intensity 28
d 1.571, intensity 19
d 1.534, intensity 18
d 1.918, intensity 16
d 2.186, intensity 14
d 1.587, intensity 13
d 2.535, intensity 13

---

Repeat the third record exactly.
The following is a computed PXRD pattern of PrNd6Mg2. It was derived from a crystal structure in Alexandria, relaxed with PBE, using a wavelength of 1.5418 Å.

Structural model:
a b c (Å): 19.3055 11.9157 5.2163
angles (deg): 90.00 90.00 90.00
Space group Cmcm (No. 63)
Inequivalent atoms, fractional coordinates:
Pr: 0.0000 0.2453 0.2500 [4 per cell]
Nd: 0.0871 0.4150 0.7500 [8 per cell]
Nd: 0.1002 0.1098 0.7500 [8 per cell]
Nd: 0.1854 0.2969 0.2500 [8 per cell]
Mg: 0.2412 0.0510 0.2500 [8 per cell]

The 10 most intense peaks (10 to 90 degrees two-theta), most intense first:
d 3.003, intensity 100
d 3.119, intensity 95
d 2.608, intensity 38
d 2.832, intensity 28
d 1.571, intensity 19
d 1.534, intensity 18
d 1.918, intensity 16
d 2.186, intensity 14
d 1.587, intensity 13
d 2.535, intensity 13